No. 1
For LiVO2, a GGA+U-relaxed structure gives the calculated X-ray diffraction stick pattern in this record (λ = 1.5418 Å (Cu Kα)).
Lines closer than 0.1° are merged.

Largest 10 diffraction maxima, most intense first, 5° ≤ 2θ ≤ 70°:
| 2θ/deg | d/Å | I/Imax | index |
| --- | --- | --- | --- |
| 23.48 | 3.789 | 1000 | 0 1 -1 |
| 23.95 | 3.715 | 945 | 1 0 0 |
| 41.11 | 2.196 | 594 | 0 0 2 |
| 44.18 | 2.050 | 506 | 2 0 -1 |
| 43.07 | 2.100 | 402 | 0 2 -1 |
| 36.84 | 2.440 | 330 | 1 1 -2 |
| 49.88 | 1.828 | 270 | 1 -2 1 |
| 61.06 | 1.518 | 236 | 0 2 1 |
| 63.41 | 1.467 | 213 | 2 2 -2 |
| 50.63 | 1.803 | 203 | 2 1 -2 |

Structural model:
```
data_LiVO2
_symmetry_space_group_name_H-M 'P 1'
_symmetry_Int_Tables_number 1
_cell_length_a 4.0996
_cell_length_b 4.2001
_cell_length_c 5.2786
_cell_angle_alpha 113.44
_cell_angle_beta 112.73
_cell_angle_gamma 90.05
loop_
_symmetry_equiv_pos_as_xyz
'x,y,z'
loop_
_atom_site_label
_atom_site_fract_x
_atom_site_fract_y
_atom_site_fract_z
Li1 0.0000 0.0000 0.0000
Li2 0.2462 0.7431 0.5043
V1 0.5019 0.4934 0.0048
V2 0.7423 0.2552 0.4957
O1 0.2624 0.1969 0.5339
O2 0.5181 0.9424 0.0390
O3 0.7260 0.8066 0.4611
O4 0.9817 0.5518 0.9664
```

No. 2
For Li3Fe8B8O24, a GGA+U-relaxed structure gives the calculated X-ray diffraction stick pattern in this record (λ = 1.5418 Å (Cu Kα)).
Lines closer than 0.1° are merged.

Largest 10 diffraction maxima, most intense first, 5° ≤ 2θ ≤ 70°:
| 2θ/deg | d/Å | I/Imax | index |
| --- | --- | --- | --- |
| 21.35 | 4.161 | 1000 | 0 2 0 |
| 19.52 | 4.548 | 806 | 1 1 -1 |
| 35.54 | 2.526 | 728 | 0 0 4 |
| 26.35 | 3.382 | 525 | 0 2 -3 |
| 40.57 | 2.224 | 316 | 0 4 -3 |
| 26.10 | 3.414 | 284 | 1 -1 2 |
| 33.99 | 2.637 | 281 | 2 0 -1 |
| 34.20 | 2.622 | 244 | 1 3 -2 |
| 38.30 | 2.350 | 237 | 1 -3 3 |
| 26.30 | 3.388 | 222 | 0 2 1 |

Structural model:
```
data_Li3Fe8B8O24
_symmetry_space_group_name_H-M 'P 1'
_symmetry_Int_Tables_number 1
_cell_length_a 5.2756
_cell_length_b 9.1244
_cell_length_c 11.3515
_cell_angle_alpha 113.47
_cell_angle_beta 102.54
_cell_angle_gamma 90.65
loop_
_symmetry_equiv_pos_as_xyz
'x,y,z'
loop_
_atom_site_label
_atom_site_fract_x
_atom_site_fract_y
_atom_site_fract_z
Li1 0.0000 0.0000 0.0000
Li2 0.2157 0.2378 0.5035
Li3 0.7088 0.7394 0.4980
Fe1 0.0033 0.6682 0.0321
Fe2 0.2166 0.2151 0.7841
Fe3 0.2324 0.5862 0.5370
Fe4 0.4749 0.1258 0.2819
Fe5 0.5204 0.1875 0.0324
Fe6 0.7095 0.7031 0.7782
Fe7 0.7326 0.0845 0.5365
Fe8 0.9713 0.6240 0.2844
B1 0.0215 0.3362 0.0328
B2 0.2212 0.8825 0.7884
B3 0.2433 0.9206 0.5338
B4 0.4637 0.4621 0.2894
B5 0.4983 0.8418 0.0339
B6 0.7132 0.3791 0.7833
B7 0.7479 0.4174 0.5321
B8 0.9632 0.9587 0.2839
O1 0.0018 0.4105 0.5300
O2 0.0186 0.7988 0.2295
O3 0.0726 0.7781 0.4888
O4 0.1382 0.0819 0.3028
O5 0.1388 0.0684 0.5760
O6 0.2315 0.4960 0.3290
O7 0.2386 0.3221 0.9805
O8 0.3411 0.0324 0.8207
O9 0.3460 0.7145 0.0248
O10 0.3520 0.7476 0.7405
O11 0.4133 0.9949 0.0789
O12 0.4544 0.3606 0.7726
O13 0.4988 0.9113 0.5321
O14 0.5218 0.3059 0.2375
O15 0.5753 0.2770 0.4859
O16 0.6374 0.5871 0.3085
O17 0.6470 0.5683 0.5814
O18 0.7312 0.9913 0.3220
O19 0.7405 0.8234 0.9956
O20 0.8448 0.5366 0.8353
O21 0.8526 0.2500 0.7394
O22 0.8933 0.2094 0.0361
O23 0.9389 0.4925 0.0855
O24 0.9735 0.8643 0.8065
```

No. 3
For Ta4Mn2Zn3O16, a GGA+U-relaxed structure gives the calculated X-ray diffraction stick pattern in this record (λ = 1.5418 Å (Cu Kα)).
Lines closer than 0.1° are merged.

Largest 10 diffraction maxima, most intense first, 5° ≤ 2θ ≤ 70°:
| 2θ/deg | d/Å | I/Imax | index |
| --- | --- | --- | --- |
| 18.18 | 4.879 | 1000 | 0 0 2 |
| 34.47 | 2.602 | 861 | 2 0 0 |
| 34.26 | 2.618 | 751 | 1 2 1 |
| 32.36 | 2.767 | 745 | 1 -1 2 |
| 32.56 | 2.750 | 741 | 1 1 3 |
| 26.86 | 3.319 | 621 | 0 1 -2 |
| 35.53 | 2.526 | 554 | -1 2 1 |
| 31.60 | 2.831 | 553 | 1 1 -2 |
| 51.23 | 1.783 | 535 | 2 0 -4 |
| 33.16 | 2.701 | 525 | -1 1 3 |

Structural model:
```
data_Ta4Mn2Zn3O16
_symmetry_space_group_name_H-M 'P 1'
_symmetry_Int_Tables_number 1
_cell_length_a 5.2086
_cell_length_b 5.9233
_cell_length_c 10.0913
_cell_angle_alpha 75.25
_cell_angle_beta 89.55
_cell_angle_gamma 87.62
loop_
_symmetry_equiv_pos_as_xyz
'x,y,z'
loop_
_atom_site_label
_atom_site_fract_x
_atom_site_fract_y
_atom_site_fract_z
Ta1 0.0000 0.0000 0.0000
Ta2 0.0221 0.2274 0.5265
Ta3 0.4810 0.3151 0.9992
Ta4 0.5173 0.5482 0.5350
Mn1 0.0018 0.6234 0.7680
Mn2 0.5100 0.9206 0.7651
Zn1 0.0283 0.8140 0.3250
Zn2 0.4909 0.7106 0.1936
Zn3 0.5427 0.1535 0.3176
O1 0.1176 0.7424 0.1469
O2 0.1746 0.1977 0.1002
O3 0.1829 0.4808 0.6325
O4 0.2013 0.9732 0.6510
O5 0.3158 0.5826 0.8765
O6 0.3343 0.0708 0.8925
O7 0.3385 0.3454 0.4235
O8 0.4081 0.8204 0.3787
O9 0.5929 0.4227 0.1516
O10 0.6764 0.7133 0.6569
O11 0.6757 0.9925 0.1119
O12 0.6968 0.2421 0.6302
O13 0.8124 0.3076 0.8996
O14 0.8334 0.5426 0.4206
O15 0.8356 0.8312 0.8715
O16 0.8944 0.0712 0.4002
```

No. 4
For Li3VO2F2, a GGA+U-relaxed structure gives the calculated X-ray diffraction stick pattern in this record (λ = 1.5418 Å (Cu Kα)).
Lines closer than 0.1° are merged.

Largest 10 diffraction maxima, most intense first, 5° ≤ 2θ ≤ 70°:
| 2θ/deg | d/Å | I/Imax | index |
| --- | --- | --- | --- |
| 42.85 | 2.111 | 1000 | 1 2 1 |
| 18.20 | 4.874 | 699 | 1 0 0 |
| 14.84 | 5.971 | 551 | 0 1 0 |
| 44.30 | 2.045 | 464 | 2 0 -2 |
| 23.56 | 3.776 | 435 | 1 1 0 |
| 62.20 | 1.492 | 255 | 2 0 2 |
| 62.77 | 1.480 | 255 | 3 2 -1 |
| 63.88 | 1.457 | 241 | 1 2 -3 |
| 23.87 | 3.727 | 231 | 0 1 1 |
| 26.42 | 3.374 | 192 | 1 1 -1 |

Structural model:
```
data_Li3VO2F2
_symmetry_space_group_name_H-M 'P 1 2/c 1'
_symmetry_Int_Tables_number 13
_cell_length_a 5.1177
_cell_length_b 5.9706
_cell_length_c 5.0101
_cell_angle_alpha 90.00
_cell_angle_beta 107.76
_cell_angle_gamma 90.00
loop_
_symmetry_equiv_pos_as_xyz
'x,y,z'
'-x,-y,-z'
'-x,y,-z+1/2'
'x,-y,z+1/2'
loop_
_atom_site_label
_atom_site_fract_x
_atom_site_fract_y
_atom_site_fract_z
Li1 0.0000 0.1147 0.2500
Li2 0.0000 0.3586 0.7500
Li3 0.5000 0.3751 0.2500
V1 0.5000 0.0984 0.7500
O1 0.2629 0.1292 0.9964
F1 0.2550 0.3713 0.5073
```

No. 5
For VF5, a GGA+U-relaxed structure gives the calculated X-ray diffraction stick pattern in this record (λ = 1.5418 Å (Cu Kα)).
Lines closer than 0.1° are merged.

Largest 10 diffraction maxima, most intense first, 5° ≤ 2θ ≤ 70°:
| 2θ/deg | d/Å | I/Imax | index |
| --- | --- | --- | --- |
| 19.06 | 4.656 | 1000 | 1 1 0 |
| 23.41 | 3.800 | 539 | 1 0 1 |
| 27.08 | 3.293 | 480 | 2 0 0 |
| 43.44 | 2.083 | 257 | 1 3 0 |
| 41.16 | 2.193 | 178 | 1 0 2 |
| 55.83 | 1.647 | 151 | 4 0 0 |
| 36.09 | 2.489 | 115 | 2 1 1 |
| 59.57 | 1.552 | 112 | 3 3 0 |
| 68.37 | 1.372 | 111 | 2 1 3 |
| 38.71 | 2.326 | 102 | 0 0 2 |

Structural model:
```
data_VF5
_symmetry_space_group_name_H-M 'P 4/n'
_symmetry_Int_Tables_number 85
_cell_length_a 6.5872
_cell_length_b 6.5872
_cell_length_c 4.6518
_cell_angle_alpha 90.00
_cell_angle_beta 90.00
_cell_angle_gamma 90.00
loop_
_symmetry_equiv_pos_as_xyz
'x,y,z'
'-x,-y,-z'
'-y+1/2,x,z'
'y+1/2,-x,-z'
'-x+1/2,-y+1/2,z'
'x+1/2,y+1/2,-z'
'y,-x+1/2,z'
'-y,x+1/2,-z'
loop_
_atom_site_label
_atom_site_fract_x
_atom_site_fract_y
_atom_site_fract_z
V1 0.2500 0.2500 0.1221
F1 0.0078 0.7126 0.7828
F2 0.2500 0.2500 0.7479
```

No. 6
For SrV10O15, a GGA+U-relaxed structure gives the calculated X-ray diffraction stick pattern in this record (λ = 1.5418 Å (Cu Kα)).
Lines closer than 0.1° are merged.

Largest 10 diffraction maxima, most intense first, 5° ≤ 2θ ≤ 70°:
| 2θ/deg | d/Å | I/Imax | index |
| --- | --- | --- | --- |
| 30.22 | 2.957 | 1000 | 1 1 3 |
| 45.32 | 2.001 | 937 | 4 2 3 |
| 39.84 | 2.263 | 834 | 4 2 2 |
| 30.66 | 2.916 | 796 | 3 1 2 |
| 61.60 | 1.506 | 760 | 4 6 0 |
| 52.23 | 1.751 | 683 | 4 2 4 |
| 36.23 | 2.479 | 657 | 4 2 1 |
| 63.18 | 1.472 | 630 | 8 0 0 |
| 28.15 | 3.170 | 564 | 1 3 1 |
| 25.96 | 3.432 | 526 | 3 1 1 |

Structural model:
```
data_SrV10O15
_symmetry_space_group_name_H-M 'C m c e'
_symmetry_Int_Tables_number 64
_symmetry_space_group_name_Hall '-C 2ac 2'
_cell_length_a 11.7694
_cell_length_b 10.5150
_cell_length_c 9.5782
_cell_angle_alpha 90.00
_cell_angle_beta 90.00
_cell_angle_gamma 90.00
loop_
_atom_site_label
_atom_site_fract_x
_atom_site_fract_y
_atom_site_fract_z
Sr1 0.0000 0.0000 0.0000
V1 0.0000 0.1810 0.3697
V2 0.1256 0.0838 0.6461
V3 0.2440 0.1630 0.1188
O1 0.0000 0.0000 0.5000
O2 0.0000 0.1473 0.7663
O3 0.1234 0.0890 0.2566
O4 0.1245 0.2341 0.5070
O5 0.2407 0.0000 0.5000
O6 0.2500 0.1777 0.7500
```